The following is a simulated XRD peak list of Ho2CuSi4O12. It was derived from a PBE-relaxed structure, using Cu Kα X-rays.
No peak broadening, texture or thermal motion is included.

The 10 most intense peaks (10 to 80 degrees two-theta), by angle:
index	d (Å)	Rel. int.
0 0 1	7.111	90
1 0 0	4.690	47
1 0 -1	3.978	46
1 0 1	3.853	44
-1 1 1	3.434	38
1 2 1	3.132	100
1 0 -2	2.882	42
1 0 2	2.787	56
0 2 -1	2.517	25
0 2 3	2.438	27

Structural model:
a = 4.8148 Å, b = 7.0855 Å, c = 7.8223 Å
α = 65.45°, β = 86.44°, γ = 77.05°
Space group P-1 (No. 2)
One atom of each set of equivalent atoms:
1 Ho 0.0367 0.2723 0.4494 (multiplicity 2)
2 Cu 0.0000 0.5000 0.0000 (multiplicity 1)
3 Si 0.4249 0.8887 0.7961 (multiplicity 2)
4 Si 0.4548 0.6775 0.2143 (multiplicity 2)
5 O 0.2196 0.9236 0.6236 (multiplicity 2)
6 O 0.2339 0.5732 0.3746 (multiplicity 2)
7 O 0.2580 0.4905 0.7941 (multiplicity 2)
8 O 0.2655 0.2649 0.1962 (multiplicity 2)
9 O 0.2881 0.7983 0.0058 (multiplicity 2)
10 O 0.4422 0.1416 0.7350 (multiplicity 2)